[1]
Diffraction record for NaO4. The X-ray diffraction stick pattern is simulated, not measured: it uses a cell relaxed with PBE and copper Kα.
Peak positions follow from Bragg's law for the DFT cell and can differ from measured ones.

Principal peaks in the range 15 to 90 degrees two-theta, low angle first:
hkl 0 1 1, 21.08 deg, I = 48; hkl 0 2 0, 29.98 deg, I = 64; hkl 1 1 1, 30.46 deg, I = 39; hkl 1 0 -2, 37.30 deg, I = 100; hkl 1 0 2, 37.43 deg, I = 33; hkl 0 2 2, 42.91 deg, I = 90; hkl 2 2 0, 54.38 deg, I = 18; hkl 0 4 0, 62.22 deg, I = 11; hkl 0 0 4, 62.38 deg, I = 11; hkl 1 4 -2, 74.88 deg, I = 15

Crystal structure
```
data_NaO4
_chemical_formula_sum 'Na2 O8'
_cell_length_a 4.088
_cell_length_b 5.968
_cell_length_c 5.955
_cell_angle_alpha 90.00
_cell_angle_beta 90.22
_cell_angle_gamma 90.00
_symmetry_space_group_name_H-M 'P 1 21/c 1'
_symmetry_Int_Tables_number 14
loop_
_symmetry_equiv_pos_as_xyz
'x,y,z'
'-x,-y,-z'
'-x,y+1/2,-z+1/2'
'x,-y+1/2,z+1/2'
loop_
_atom_site_label
_atom_site_type_symbol
_atom_site_fract_x
_atom_site_fract_y
_atom_site_fract_z
Na1 Na 0.000 0.000 0.000
O1 O 0.343 0.240 0.740
O2 O 0.343 0.741 0.760
```



[2]
Diffraction record for NaO2. The X-ray diffraction stick pattern is simulated, not measured: it uses a cell relaxed with PBE and copper Kα.
Peak positions follow from Bragg's law for the DFT cell and can differ from measured ones.

Principal peaks in the range 15 to 90 degrees two-theta, low angle first:
hkl 0 1 1, 20.05 deg, I = 14; hkl 1 0 1, 25.47 deg, I = 33; hkl 1 1 0, 25.98 deg, I = 54; hkl 1 1 2, 38.23 deg, I = 60; hkl 1 2 1, 39.30 deg, I = 24; hkl 0 2 2, 40.74 deg, I = 100; hkl 1 3 0, 50.14 deg, I = 18; hkl 2 0 2, 52.32 deg, I = 22; hkl 2 2 0, 53.44 deg, I = 20; hkl 0 0 4, 56.87 deg, I = 17

Crystal structure
```
data_NaO2
_chemical_formula_sum 'Na4 O8'
_cell_length_a 4.156
_cell_length_b 6.071
_cell_length_c 6.476
_cell_angle_alpha 90.00
_cell_angle_beta 90.00
_cell_angle_gamma 90.00
_symmetry_space_group_name_H-M 'I m m m'
_symmetry_Int_Tables_number 71
_symmetry_space_group_name_Hall '-I 2 2'
loop_
_atom_site_label
_atom_site_type_symbol
_atom_site_fract_x
_atom_site_fract_y
_atom_site_fract_z
Na1 Na 0.000 0.000 0.238
O1 O 0.163 0.277 0.500
```



[3]
Diffraction record for Na6O. The X-ray diffraction stick pattern is simulated, not measured: it uses a cell relaxed with PBE and copper Kα.
Peak positions follow from Bragg's law for the DFT cell and can differ from measured ones.

Principal peaks in the range 15 to 90 degrees two-theta, low angle first:
hkl 1 1 1, 16.30 deg, I = 41; hkl 0 0 2, 17.94 deg, I = 43; hkl 0 6 0, 28.07 deg, I = 50; hkl 0 2 3, 28.65 deg, I = 59; hkl 2 2 1, 28.88 deg, I = 56; hkl 2 0 2, 31.54 deg, I = 100; hkl 0 4 3, 33.03 deg, I = 59; hkl 2 4 1, 33.24 deg, I = 39; hkl 2 6 0, 38.43 deg, I = 48; hkl 2 6 2, 42.72 deg, I = 64

Crystal structure
```
data_Na6O
_chemical_formula_sum 'Na36 O6'
_cell_length_a 6.925
_cell_length_b 19.072
_cell_length_c 9.891
_cell_angle_alpha 90.00
_cell_angle_beta 90.00
_cell_angle_gamma 90.00
_symmetry_space_group_name_H-M 'C m m 2'
_symmetry_Int_Tables_number 35
loop_
_symmetry_equiv_pos_as_xyz
'x,y,z'
'-x,-y,z'
'-x,y,z'
'x,-y,z'
'x+1/2,y+1/2,z'
'-x+1/2,-y+1/2,z'
'-x+1/2,y+1/2,z'
'x+1/2,-y+1/2,z'
loop_
_atom_site_label
_atom_site_type_symbol
_atom_site_fract_x
_atom_site_fract_y
_atom_site_fract_z
Na1 Na 0.000 0.000 0.011
Na2 Na 0.000 0.078 0.470
Na3 Na 0.000 0.269 0.000
Na4 Na 0.000 0.500 0.514
Na5 Na 0.216 0.398 0.801
Na6 Na 0.246 0.083 0.211
Na7 Na 0.250 0.250 0.345
Na8 Na 0.250 0.250 0.698
O1 O 0.000 0.000 0.256
O2 O 0.000 0.311 0.792
```



[4]
Diffraction record for NaO2. The X-ray diffraction stick pattern is simulated, not measured: it uses a cell relaxed with PBE and copper Kα.
Peak positions follow from Bragg's law for the DFT cell and can differ from measured ones.

Principal peaks in the range 15 to 90 degrees two-theta, low angle first:
hkl 0 2 1, 29.09 deg, I = 34; hkl 1 1 3, 36.34 deg, I = 15; hkl 2 1 0, 36.95 deg, I = 23; hkl 1 2 2, 37.85 deg, I = 100; hkl 2 1 1, 38.24 deg, I = 11; hkl 0 0 4, 38.65 deg, I = 23; hkl 1 3 2, 49.53 deg, I = 10; hkl 2 1 4, 54.53 deg, I = 19; hkl 3 1 2, 58.10 deg, I = 12; hkl 1 4 1, 60.45 deg, I = 9

Crystal structure
```
data_NaO2
_chemical_formula_sum 'Na8 O16'
_cell_length_a 5.247
_cell_length_b 6.502
_cell_length_c 9.317
_cell_angle_alpha 90.00
_cell_angle_beta 90.00
_cell_angle_gamma 90.00
_symmetry_space_group_name_H-M 'P b c a'
_symmetry_Int_Tables_number 61
loop_
_symmetry_equiv_pos_as_xyz
'x,y,z'
'-x,-y,-z'
'-x+1/2,-y,z+1/2'
'x+1/2,y,-z+1/2'
'x+1/2,-y+1/2,-z'
'-x+1/2,y+1/2,z'
'-x,y+1/2,-z+1/2'
'x,-y+1/2,z+1/2'
loop_
_atom_site_label
_atom_site_type_symbol
_atom_site_fract_x
_atom_site_fract_y
_atom_site_fract_z
Na1 Na 0.163 0.219 0.122
O1 O 0.074 0.034 0.340
O2 O 0.233 0.534 0.436
```



[5]
Diffraction record for NaO8. The X-ray diffraction stick pattern is simulated, not measured: it uses a cell relaxed with PBE and copper Kα.
Peak positions follow from Bragg's law for the DFT cell and can differ from measured ones.

Principal peaks in the range 15 to 90 degrees two-theta, low angle first:
hkl 1 1 -2, 23.73 deg, I = 15; hkl 0 4 1, 28.07 deg, I = 100; hkl 2 1 -1, 30.59 deg, I = 24; hkl 1 3 1, 33.33 deg, I = 11; hkl 0 5 1, 33.70 deg, I = 22; hkl 2 0 0, 35.42 deg, I = 20; hkl 2 3 -2, 35.77 deg, I = 20; hkl 2 1 -3, 37.30 deg, I = 12; hkl 2 4 -1, 39.03 deg, I = 15; hkl 1 3 -3, 39.62 deg, I = 11

Crystal structure
```
data_NaO8
_chemical_formula_sum 'Na4 O32'
_cell_length_a 6.077
_cell_length_b 14.568
_cell_length_c 7.807
_cell_angle_alpha 90.00
_cell_angle_beta 123.48
_cell_angle_gamma 90.00
_symmetry_space_group_name_H-M 'P 1 21/c 1'
_symmetry_Int_Tables_number 14
loop_
_symmetry_equiv_pos_as_xyz
'x,y,z'
'-x,-y,-z'
'-x,y+1/2,-z+1/2'
'x,-y+1/2,z+1/2'
loop_
_atom_site_label
_atom_site_type_symbol
_atom_site_fract_x
_atom_site_fract_y
_atom_site_fract_z
Na1 Na 0.008 0.173 0.185
O1 O 0.069 0.570 0.721
O2 O 0.083 0.010 0.301
O3 O 0.107 0.078 0.978
O4 O 0.136 0.712 0.086
O5 O 0.383 0.679 0.177
O6 O 0.401 0.081 0.718
O7 O 0.474 0.593 0.595
O8 O 0.489 0.207 0.406
```



[6]
Diffraction record for Na3OsO5. The X-ray diffraction stick pattern is simulated, not measured: it uses a cell relaxed with PBE and copper Kα.
Peak positions follow from Bragg's law for the DFT cell and can differ from measured ones.

Principal peaks in the range 15 to 90 degrees two-theta, low angle first:
hkl 1 0 1, 19.36 deg, I = 100; hkl 0 0 3, 19.57 deg, I = 32; hkl 0 1 2, 22.45 deg, I = 72; hkl 1 1 0, 31.83 deg, I = 45; hkl 1 0 4, 32.10 deg, I = 46; hkl 0 2 1, 37.52 deg, I = 14; hkl 1 1 3, 37.64 deg, I = 22; hkl 0 1 5, 37.88 deg, I = 19; hkl 0 2 4, 45.83 deg, I = 23; hkl 2 1 4, 56.88 deg, I = 17

Crystal structure
```
data_Na3OsO5
_chemical_formula_sum 'Na9 Os3 O15'
_cell_length_a 5.6234
_cell_length_b 5.6234
_cell_length_c 13.6055
_cell_angle_alpha 90.00
_cell_angle_beta 90.00
_cell_angle_gamma 120.00
_symmetry_space_group_name_H-M 'P 31 2 1'
_symmetry_Int_Tables_number 152
loop_
_symmetry_equiv_pos_as_xyz
'x,y,z'
'-y,x-y,z+1/3'
'-x+y,-x,z+2/3'
'y,x,-z'
'x-y,-y,-z+2/3'
'-x,-x+y,-z+1/3'
loop_
_atom_site_label
_atom_site_type_symbol
_atom_site_fract_x
_atom_site_fract_y
_atom_site_fract_z
Na1 Na 0.0000 0.2764 0.1667
Na2 Na 0.0887 0.3834 0.4184
Os1 Os 0.0000 0.3825 0.6667
O1 O 0.0000 0.7004 0.6667
O2 O 0.1558 0.8420 0.4392
O3 O 0.1754 0.6592 0.2689
```



[7]
Diffraction record for NaOs2O6. The X-ray diffraction stick pattern is simulated, not measured: it uses a cell relaxed with PBE and copper Kα.
Peak positions follow from Bragg's law for the DFT cell and can differ from measured ones.

Principal peaks in the range 15 to 90 degrees two-theta, low angle first:
hkl 1 1 1, 15.06 deg, I = 100; hkl 3 1 1, 29.07 deg, I = 71; hkl 2 2 2, 30.40 deg, I = 68; hkl 4 0 0, 35.24 deg, I = 19; hkl 3 3 1, 38.52 deg, I = 15; hkl 3 3 3, 46.31 deg, I = 24; hkl 4 4 0, 50.70 deg, I = 33; hkl 5 3 1, 53.20 deg, I = 20; hkl 6 2 2, 60.27 deg, I = 30; hkl 7 3 1, 71.09 deg, I = 17

Crystal structure
Cell: 10.186 10.186 10.186 Å, 90.00 90.00 90.00°
Space group Fd-3m (No. 227, origin choice 2)
Unique sites:
1 Na 0.125 0.125 0.125 x8
2 Os 0.000 0.000 0.500 x16
3 O 0.067 0.375 0.875 x48



[8]
Diffraction record for NaPOsO6. The X-ray diffraction stick pattern is simulated, not measured: it uses a cell relaxed with PBE and copper Kα.
Peak positions follow from Bragg's law for the DFT cell and can differ from measured ones.

Principal peaks in the range 15 to 90 degrees two-theta, low angle first:
hkl 0 0 1, 17.01 deg, I = 77; hkl 1 0 0, 20.84 deg, I = 64; hkl 1 0 1, 27.02 deg, I = 100; hkl 1 1 0, 36.51 deg, I = 25; hkl 2 -1 1, 40.55 deg, I = 58; hkl 2 0 1, 46.01 deg, I = 23; hkl 2 -1 2, 51.05 deg, I = 36; hkl 1 0 3, 57.22 deg, I = 22; hkl 3 -1 1, 60.11 deg, I = 23; hkl 3 0 0, 65.76 deg, I = 21

Crystal structure
```
data_NaPOsO6
_chemical_formula_sum 'Na1 P1 Os1 O6'
_cell_length_a 4.9218
_cell_length_b 4.9218
_cell_length_c 5.2121
_cell_angle_alpha 90.00
_cell_angle_beta 90.00
_cell_angle_gamma 120.00
_symmetry_space_group_name_H-M 'P 3 1 2'
_symmetry_Int_Tables_number 149
loop_
_symmetry_equiv_pos_as_xyz
'x,y,z'
'-y,x-y,z'
'-x+y,-x,z'
'-y,-x,-z'
'-x+y,y,-z'
'x,x-y,-z'
loop_
_atom_site_label
_atom_site_type_symbol
_atom_site_fract_x
_atom_site_fract_y
_atom_site_fract_z
Na1 Na 0.0000 0.0000 0.0000
P1 P 0.6667 0.3333 0.5000
Os1 Os 0.3333 0.6667 0.5000
O1 O 0.3966 0.0320 0.6911
```



[9]
Diffraction record for Na3OsPb3O8. The X-ray diffraction stick pattern is simulated, not measured: it uses a cell relaxed with PBE and copper Kα.
Peak positions follow from Bragg's law for the DFT cell and can differ from measured ones.

Principal peaks in the range 15 to 90 degrees two-theta, low angle first:
hkl 0 0 3, 15.85 deg, I = 100; hkl 0 2 1, 29.80 deg, I = 60; hkl 2 0 2, 31.23 deg, I = 60; hkl 0 2 4, 36.45 deg, I = 67; hkl 2 0 5, 39.97 deg, I = 25; hkl 0 2 7, 48.32 deg, I = 19; hkl 2 2 0, 51.97 deg, I = 23; hkl 2 0 8, 53.02 deg, I = 21; hkl 2 2 3, 54.69 deg, I = 25; hkl 2 2 6, 62.36 deg, I = 20

Crystal structure
```
data_Na3OsPb3O8
_chemical_formula_sum 'Na9 Os3 Pb9 O24'
_cell_length_a 7.0378
_cell_length_b 7.0378
_cell_length_c 16.7726
_cell_angle_alpha 90.00
_cell_angle_beta 90.00
_cell_angle_gamma 120.00
_symmetry_space_group_name_H-M 'R -3 m'
_symmetry_Int_Tables_number 166
_symmetry_space_group_name_Hall '-R 3 2"'
loop_
_atom_site_label
_atom_site_type_symbol
_atom_site_fract_x
_atom_site_fract_y
_atom_site_fract_z
Na1 Na 0.0000 0.5000 0.0000
Os1 Os 0.0000 0.0000 0.5000
Pb1 Pb 0.0000 0.5000 0.5000
O1 O 0.0000 0.0000 0.2488
O2 O 0.0676 0.5338 0.2318
```



[10]
Diffraction record for Na2OsPbO5. The X-ray diffraction stick pattern is simulated, not measured: it uses a cell relaxed with PBE and copper Kα.
Peak positions follow from Bragg's law for the DFT cell and can differ from measured ones.

Principal peaks in the range 15 to 90 degrees two-theta, low angle first:
hkl 0 0 1, 15.98 deg, I = 77; hkl 2 0 0, 25.90 deg, I = 62; hkl 2 0 1, 30.58 deg, I = 100; hkl 0 0 2, 32.28 deg, I = 20; hkl 2 2 0, 36.96 deg, I = 34; hkl 2 2 1, 40.50 deg, I = 36; hkl 2 0 2, 41.84 deg, I = 38; hkl 2 2 2, 49.87 deg, I = 29; hkl 4 2 1, 62.68 deg, I = 23; hkl 4 2 2, 69.93 deg, I = 19

Crystal structure
```
data_Na2OsPbO5
_chemical_formula_sum 'Na4 Os2 Pb2 O10'
_cell_length_a 6.879
_cell_length_b 6.879
_cell_length_c 5.547
_cell_angle_alpha 90.00
_cell_angle_beta 90.00
_cell_angle_gamma 90.00
_symmetry_space_group_name_H-M 'P 4/m b m'
_symmetry_Int_Tables_number 127
_symmetry_space_group_name_Hall '-P 4 2ab'
loop_
_atom_site_label
_atom_site_type_symbol
_atom_site_fract_x
_atom_site_fract_y
_atom_site_fract_z
Na1 Na 0.184 0.316 0.000
Os1 Os 0.000 0.500 0.500
Pb1 Pb 0.000 0.000 0.500
O1 O 0.000 0.000 0.000
O2 O 0.133 0.633 0.269
```



[11]
Diffraction record for Na2OsPbO4. The X-ray diffraction stick pattern is simulated, not measured: it uses a cell relaxed with PBE and copper Kα.
Peak positions follow from Bragg's law for the DFT cell and can differ from measured ones.

Principal peaks in the range 15 to 90 degrees two-theta, low angle first:
hkl 1 0 1, 19.73 deg, I = 100; hkl 2 0 0, 30.09 deg, I = 42; hkl 1 1 2, 33.64 deg, I = 85; hkl 2 1 1, 36.24 deg, I = 41; hkl 1 0 3, 42.17 deg, I = 15; hkl 2 2 0, 43.08 deg, I = 26; hkl 2 1 3, 52.67 deg, I = 14; hkl 3 1 2, 55.74 deg, I = 41; hkl 3 2 1, 57.52 deg, I = 13; hkl 2 0 4, 62.29 deg, I = 12

Crystal structure
```
data_Na2OsPbO4
_chemical_formula_sum 'Na4 Os2 Pb2 O8'
_cell_length_a 5.940
_cell_length_b 5.940
_cell_length_c 6.893
_cell_angle_alpha 90.00
_cell_angle_beta 90.00
_cell_angle_gamma 90.00
_symmetry_space_group_name_H-M 'I -4'
_symmetry_Int_Tables_number 82
loop_
_symmetry_equiv_pos_as_xyz
'x,y,z'
'y,-x,-z'
'-x,-y,z'
'-y,x,-z'
'x+1/2,y+1/2,z+1/2'
'y+1/2,-x+1/2,-z+1/2'
'-x+1/2,-y+1/2,z+1/2'
'-y+1/2,x+1/2,-z+1/2'
loop_
_atom_site_label
_atom_site_type_symbol
_atom_site_fract_x
_atom_site_fract_y
_atom_site_fract_z
Na1 Na 0.000 0.000 0.000
Na2 Na 0.000 0.500 0.250
Os1 Os 0.000 0.500 0.750
Pb1 Pb 0.000 0.000 0.500
O1 O 0.192 0.243 0.760
```